# 1
K3In5Hg6: theoretical powder X-ray diffraction pattern (copper Kα), based on a crystal structure in Alexandria, relaxed with PBE.
Intensities are scaled so that the largest is 100.

Lattice parameters (Å, degrees): 5.2324 15.1965 10.5268 90.00 90.00 90.00
Space group Pmmn (No. 59, origin choice 2)
Inequivalent atoms, fractional coordinates:
K 0.2500 0.0481 0.2460 x4
K 0.2500 0.7500 0.2659 x2
In 0.2500 0.0878 0.5995 x4
In 0.2500 0.6181 0.9722 x4
In 0.2500 0.7500 0.7440 x2
Hg 0.2500 0.0856 0.8834 x4
Hg 0.2500 0.2500 0.0648 x2
Hg 0.2500 0.2500 0.4289 x2
Hg 0.2500 0.6076 0.5377 x4

Largest 6 diffraction maxima, sorted by position, 2θ = 10–90°:
d 5.263, I = 64.8; d 2.994, I = 100.0; d 2.721, I = 74.9; d 2.616, I = 85.1; d 2.533, I = 49.0; d 2.312, I = 81.1

# 2
K2In3Hg4: theoretical powder X-ray diffraction pattern (copper Kα), based on a crystal structure in Alexandria, relaxed with PBE.
Intensities are scaled so that the largest is 100.

Lattice parameters (Å, degrees): 6.6196 17.7052 9.2977 90.00 90.00 90.00
Space group Cmce (No. 64)
Inequivalent atoms, fractional coordinates:
K 0.0000 0.1112 0.0887 x8
In 0.0000 0.0000 0.5000 x4
In 0.2500 0.2184 0.7500 x8
Hg 0.0000 0.1806 0.4671 x8
Hg 0.2500 0.0497 0.7500 x8

Largest 6 diffraction maxima, sorted by position, 2θ = 10–90°:
d 5.159, I = 37.7; d 3.988, I = 35.1; d 2.960, I = 51.2; d 2.941, I = 35.1; d 2.925, I = 31.8; d 2.696, I = 100.0

# 3
KInHgS: theoretical powder X-ray diffraction pattern (copper Kα), based on a crystal structure in Alexandria, relaxed with PBE.
Intensities are scaled so that the largest is 100.

Lattice parameters (Å, degrees): 7.6491 7.6491 7.6491 90.00 90.00 90.00
Space group F-43m (No. 216)
Inequivalent atoms, fractional coordinates:
K 0.0000 0.0000 0.0000 x4
In 0.0000 0.0000 0.5000 x4
Hg 0.2500 0.2500 0.7500 x4
S 0.2500 0.2500 0.2500 x4

Largest 6 diffraction maxima, sorted by position, 2θ = 10–90°:
d 4.416, I = 47.5; d 2.704, I = 100.0; d 2.306, I = 28.7; d 1.912, I = 17.8; d 1.561, I = 36.5; d 1.209, I = 15.8

# 4
KInHg2Se4: theoretical powder X-ray diffraction pattern (copper Kα), based on a crystal structure in Alexandria, relaxed with PBE.
Intensities are scaled so that the largest is 100.

Lattice parameters (Å, degrees): 7.0072 8.3238 8.9387 90.00 90.00 90.00
Space group I222 (No. 23)
Inequivalent atoms, fractional coordinates:
K 0.0000 0.0000 0.0000 x2
In 0.0000 0.0000 0.5000 x2
Hg 0.0000 0.5000 0.1824 x4
Se 0.2156 0.1835 0.3287 x8

Largest 6 diffraction maxima, sorted by position, 2θ = 10–90°:
d 6.092, I = 77.2; d 5.361, I = 26.8; d 3.433, I = 100.0; d 2.680, I = 66.2; d 2.290, I = 38.6; d 2.234, I = 30.1

# 5
LaIn12Hg6: theoretical powder X-ray diffraction pattern (copper Kα), based on a crystal structure in Alexandria, relaxed with PBE.
Intensities are scaled so that the largest is 100.

Lattice parameters (Å, degrees): 11.3739 11.3739 14.2373 90.00 90.00 120.00
Space group R-3 (No. 148, hexagonal axes)
Inequivalent atoms, fractional coordinates:
La 0.0000 0.0000 0.0000 x3
In 0.0471 0.1854 0.4062 x18
In 0.0863 0.2000 0.1863 x18
Hg 0.0051 0.5427 0.6274 x18

Largest 6 diffraction maxima, sorted by position, 2θ = 10–90°:
d 3.644, I = 22.5; d 2.885, I = 57.7; d 2.683, I = 100.0; d 2.573, I = 50.1; d 2.551, I = 38.2; d 2.439, I = 35.3

# 6
LaIn2Hg6: theoretical powder X-ray diffraction pattern (copper Kα), based on a crystal structure in Alexandria, relaxed with PBE.
Intensities are scaled so that the largest is 100.

Lattice parameters (Å, degrees): 6.4694 15.8393 5.0177 90.00 112.11 90.00
Space group C2/m (No. 12)
Inequivalent atoms, fractional coordinates:
La 0.0000 0.0000 0.0000 x2
In 0.0000 0.1586 0.5000 x4
Hg 0.1395 0.5000 0.3174 x4
Hg 0.1685 0.3312 0.8234 x8

Largest 6 diffraction maxima, sorted by position, 2θ = 10–90°:
d 2.892, I = 53.6; d 2.702, I = 100.0; d 2.640, I = 47.3; d 2.478, I = 36.2; d 2.444, I = 34.2; d 1.967, I = 18.1

# 7
LaInHg: theoretical powder X-ray diffraction pattern (copper Kα), based on a crystal structure in Alexandria, relaxed with PBE.
Intensities are scaled so that the largest is 100.

Lattice parameters (Å, degrees): 5.0648 8.4899 7.8010 90.00 90.00 90.00
Space group Ima2 (No. 46)
Inequivalent atoms, fractional coordinates:
La 0.2500 0.2227 0.0000 x4
In 0.2500 0.5862 0.2089 x4
Hg 0.2500 0.5840 0.7986 x4

Largest 6 diffraction maxima, sorted by position, 2θ = 10–90°:
d 3.003, I = 29.5; d 2.904, I = 100.0; d 2.872, I = 44.2; d 2.532, I = 48.2; d 2.470, I = 83.1; d 1.899, I = 29.0

# 8
La8InHg2: theoretical powder X-ray diffraction pattern (copper Kα), based on a crystal structure in Alexandria, relaxed with PBE.
Intensities are scaled so that the largest is 100.

Lattice parameters (Å, degrees): 5.2301 8.8704 15.5601 90.00 90.00 90.00
Space group Immm (No. 71)
Inequivalent atoms, fractional coordinates:
La 0.0000 0.0000 0.1401 x4
La 0.0000 0.2244 0.3430 x8
La 0.0000 0.3238 0.0000 x4
In 0.0000 0.5000 0.5000 x2
Hg 0.0000 0.5000 0.1962 x4

Largest 6 diffraction maxima, sorted by position, 2θ = 10–90°:
d 2.943, I = 31.7; d 2.833, I = 100.0; d 2.615, I = 27.7; d 2.593, I = 15.7; d 1.841, I = 11.3; d 1.549, I = 16.2

# 9
LaIn2Hg8: theoretical powder X-ray diffraction pattern (copper Kα), based on a crystal structure in Alexandria, relaxed with PBE.
Intensities are scaled so that the largest is 100.

Lattice parameters (Å, degrees): 9.6946 13.9623 4.5725 90.00 96.94 90.00
Space group C2/m (No. 12)
Inequivalent atoms, fractional coordinates:
La 0.0000 0.0000 0.0000 x2
In 0.0000 0.3788 0.5000 x4
Hg 0.0000 0.2376 0.0000 x4
Hg 0.1657 0.5000 0.9853 x4
Hg 0.1830 0.1386 0.5368 x8

Largest 6 diffraction maxima, sorted by position, 2θ = 10–90°:
d 2.767, I = 100.0; d 2.729, I = 42.5; d 2.641, I = 39.2; d 2.444, I = 27.8; d 2.269, I = 28.8; d 2.106, I = 17.0

# 10
LaIn3Hg3: theoretical powder X-ray diffraction pattern (copper Kα), based on a crystal structure in Alexandria, relaxed with PBE.
Intensities are scaled so that the largest is 100.

Lattice parameters (Å, degrees): 9.1214 9.1214 9.1214 90.00 90.00 90.00
Space group P2_13 (No. 198)
Inequivalent atoms, fractional coordinates:
La 0.0300 0.4700 0.5300 x4
In 0.1200 0.6200 0.8800 x4
In 0.1406 0.8594 0.3594 x4
In 0.1857 0.1857 0.1857 x4
Hg 0.0566 0.3015 0.8663 x12

Largest 6 diffraction maxima, sorted by position, 2θ = 10–90°:
d 3.724, I = 33.3; d 2.884, I = 100.0; d 2.750, I = 91.5; d 2.530, I = 86.5; d 2.438, I = 76.9; d 2.212, I = 35.3

# 11
LaInHg: theoretical powder X-ray diffraction pattern (copper Kα), based on a crystal structure in Alexandria, relaxed with PBE.
Intensities are scaled so that the largest is 100.

Lattice parameters (Å, degrees): 14.4612 4.4443 7.9452 90.00 90.00 90.00
Space group Pmma (No. 51)
Inequivalent atoms, fractional coordinates:
La 0.0486 0.0000 0.2471 x4
La 0.2500 0.0000 0.8416 x2
In 0.1181 0.5000 0.5600 x4
In 0.2500 0.5000 0.1894 x2
Hg 0.0944 0.5000 0.9377 x4
Hg 0.2500 0.0000 0.4404 x2

Largest 6 diffraction maxima, sorted by position, 2θ = 10–90°:
d 3.022, I = 100.0; d 2.805, I = 82.7; d 2.741, I = 61.1; d 2.524, I = 44.8; d 2.321, I = 53.6; d 2.222, I = 57.8

# 12
LaMg2In2Hg2: theoretical powder X-ray diffraction pattern (copper Kα), based on a crystal structure in Alexandria, relaxed with PBE.
Intensities are scaled so that the largest is 100.

Lattice parameters (Å, degrees): 4.8809 4.8809 25.6868 90.00 90.00 120.00
Space group R-3m (No. 166, hexagonal axes)
Inequivalent atoms, fractional coordinates:
La 0.0000 0.0000 0.0000 x3
Mg 0.0000 0.0000 0.1386 x6
In 0.0000 0.0000 0.2625 x6
Hg 0.0000 0.0000 0.4295 x6

Largest 6 diffraction maxima, sorted by position, 2θ = 10–90°:
d 4.281, I = 31.3; d 2.771, I = 100.0; d 2.440, I = 94.7; d 2.120, I = 30.2; d 1.831, I = 29.8; d 1.465, I = 28.7